Record 1
Starting from a cell relaxed with PBE, the powder diffraction line list of KNa2DyF6 was calculated for Cu Kα (λ = 1.5418 Å).

Cell and atoms:
Unit cell a=6.375 b=6.375 c=6.375 alpha=56.27 beta=56.27 gamma=56.27
Fractional coordinates of all 10 atoms:
K: 0.000 0.000 0.000
Na: 0.279 0.279 0.279
Na: 0.788 0.788 0.788
Dy: 0.486 0.486 0.486
F: 0.102 0.639 0.439
F: 0.213 0.559 0.866
F: 0.439 0.102 0.639
F: 0.559 0.866 0.213
F: 0.639 0.439 0.102
F: 0.866 0.213 0.559

Peak list (10 most intense, 2θ = 15–90°, by intensity)
- 20.33 deg, rel. 100
- 17.91 deg, rel. 84
- 28.08 deg, rel. 74
- 45.39 deg, rel. 54
- 29.72 deg, rel. 54
- 34.22 deg, rel. 42
- 16.58 deg, rel. 35
- 51.74 deg, rel. 33
- 41.34 deg, rel. 31
- 52.74 deg, rel. 29


Record 2
Starting from a cell relaxed with PBE, the powder diffraction line list of NaURhS4 was calculated for Cu Kα (λ = 1.5418 Å).

Cell and atoms:
Unit cell a=6.498 b=5.976 c=7.896 alpha=90.00 beta=103.76 gamma=90.00
Fractional coordinates of all 14 atoms:
Na: 0.234 0.250 0.039
Na: 0.766 0.750 0.961
U: 0.245 0.250 0.547
U: 0.755 0.750 0.453
Rh: 0.244 0.750 0.371
Rh: 0.756 0.250 0.629
S: 0.017 0.508 0.723
S: 0.017 0.992 0.723
S: 0.462 0.750 0.174
S: 0.471 0.750 0.635
S: 0.529 0.250 0.365
S: 0.538 0.250 0.826
S: 0.983 0.008 0.277
S: 0.983 0.492 0.277

Peak list (10 most intense, 2θ = 15–90°, by intensity)
- 32.16 deg, rel. 100
- 29.91 deg, rel. 70
- 33.62 deg, rel. 64
- 18.83 deg, rel. 62
- 35.59 deg, rel. 61
- 41.63 deg, rel. 55
- 43.95 deg, rel. 51
- 20.47 deg, rel. 42
- 27.64 deg, rel. 41
- 33.17 deg, rel. 39


Record 3
Starting from a cell relaxed with PBE, the powder diffraction line list of Na4SmU3Se8 was calculated for Cu Kα (λ = 1.5418 Å).

Cell and atoms:
Unit cell a=8.546 b=8.546 c=8.546 alpha=58.22 beta=58.22 gamma=58.22
Fractional coordinates of all 16 atoms:
Na: 0.000 0.000 0.000
Na: 0.000 0.500 0.500
Na: 0.500 0.000 0.500
Na: 0.500 0.500 0.000
Sm: 0.500 0.500 0.500
U: 0.000 0.000 0.500
U: 0.000 0.500 0.000
U: 0.500 0.000 0.000
Se: 0.242 0.747 0.747
Se: 0.245 0.245 0.245
Se: 0.253 0.253 0.758
Se: 0.253 0.758 0.253
Se: 0.747 0.242 0.747
Se: 0.747 0.747 0.242
Se: 0.755 0.755 0.755
Se: 0.758 0.253 0.253

Peak list (10 most intense, 2θ = 15–90°, by intensity)
- 30.00 deg, rel. 100
- 42.33 deg, rel. 38
- 43.54 deg, rel. 36
- 25.09 deg, rel. 32
- 53.77 deg, rel. 19
- 69.85 deg, rel. 17
- 45.48 deg, rel. 17
- 71.59 deg, rel. 17
- 38.84 deg, rel. 16
- 32.62 deg, rel. 13


Record 4
Starting from a cell relaxed with PBE, the powder diffraction line list of Tm3Fe7Ni2 was calculated for Cu Kα (λ = 1.5418 Å).

Cell and atoms:
Unit cell a=8.705 b=8.705 c=8.705 alpha=33.35 beta=33.35 gamma=33.35
Fractional coordinates of all 12 atoms:
Tm: 0.000 0.000 0.000
Tm: 0.142 0.142 0.142
Tm: 0.858 0.858 0.858
Fe: 0.082 0.583 0.583
Fe: 0.417 0.417 0.918
Fe: 0.417 0.918 0.417
Fe: 0.500 0.500 0.500
Fe: 0.583 0.082 0.583
Fe: 0.583 0.583 0.082
Fe: 0.918 0.417 0.417
Ni: 0.333 0.333 0.333
Ni: 0.667 0.667 0.667

Peak list (10 most intense, 2θ = 15–90°, by intensity)
- 42.36 deg, rel. 100
- 35.95 deg, rel. 54
- 32.80 deg, rel. 51
- 41.92 deg, rel. 33
- 35.79 deg, rel. 33
- 69.02 deg, rel. 21
- 76.23 deg, rel. 18
- 62.64 deg, rel. 15
- 20.85 deg, rel. 14
- 64.52 deg, rel. 11


Copy entry 2 word for word.
Starting from a cell relaxed with PBE, the powder diffraction line list of NaURhS4 was calculated for Cu Kα (λ = 1.5418 Å).

Cell and atoms:
Unit cell a=6.498 b=5.976 c=7.896 alpha=90.00 beta=103.76 gamma=90.00
Fractional coordinates of all 14 atoms:
Na: 0.234 0.250 0.039
Na: 0.766 0.750 0.961
U: 0.245 0.250 0.547
U: 0.755 0.750 0.453
Rh: 0.244 0.750 0.371
Rh: 0.756 0.250 0.629
S: 0.017 0.508 0.723
S: 0.017 0.992 0.723
S: 0.462 0.750 0.174
S: 0.471 0.750 0.635
S: 0.529 0.250 0.365
S: 0.538 0.250 0.826
S: 0.983 0.008 0.277
S: 0.983 0.492 0.277

Peak list (10 most intense, 2θ = 15–90°, by intensity)
- 32.16 deg, rel. 100
- 29.91 deg, rel. 70
- 33.62 deg, rel. 64
- 18.83 deg, rel. 62
- 35.59 deg, rel. 61
- 41.63 deg, rel. 55
- 43.95 deg, rel. 51
- 20.47 deg, rel. 42
- 27.64 deg, rel. 41
- 33.17 deg, rel. 39


Please write out number 2 again, unchanged.
Starting from a cell relaxed with PBE, the powder diffraction line list of NaURhS4 was calculated for Cu Kα (λ = 1.5418 Å).

Cell and atoms:
Unit cell a=6.498 b=5.976 c=7.896 alpha=90.00 beta=103.76 gamma=90.00
Fractional coordinates of all 14 atoms:
Na: 0.234 0.250 0.039
Na: 0.766 0.750 0.961
U: 0.245 0.250 0.547
U: 0.755 0.750 0.453
Rh: 0.244 0.750 0.371
Rh: 0.756 0.250 0.629
S: 0.017 0.508 0.723
S: 0.017 0.992 0.723
S: 0.462 0.750 0.174
S: 0.471 0.750 0.635
S: 0.529 0.250 0.365
S: 0.538 0.250 0.826
S: 0.983 0.008 0.277
S: 0.983 0.492 0.277

Peak list (10 most intense, 2θ = 15–90°, by intensity)
- 32.16 deg, rel. 100
- 29.91 deg, rel. 70
- 33.62 deg, rel. 64
- 18.83 deg, rel. 62
- 35.59 deg, rel. 61
- 41.63 deg, rel. 55
- 43.95 deg, rel. 51
- 20.47 deg, rel. 42
- 27.64 deg, rel. 41
- 33.17 deg, rel. 39